Calculated powder diffractogram
Compound: Li6Ni2C4SO16
Radiation: a wavelength of 1.5418 Å
Structure: a cell relaxed with PBE+U
Intensities are scaled so that the largest is 100.

Top 10 peaks for 2θ = 5–70°, most intense first:
- 22.38°, I = 100.0
- 11.63°, I = 39.7
- 35.40°, I = 37.5
- 40.51°, I = 36.2
- 27.07°, I = 34.4
- 38.66°, I = 32.9
- 60.89°, I = 23.3
- 45.68°, I = 20.4
- 53.42°, I = 15.6
- 61.34°, I = 14.7

Atomic structure:
Unit cell a=9.3164 b=9.3164 c=9.3164 alpha=60.00 beta=60.00 gamma=60.00
Fractional positions:
1 Li 0.0942 0.0942 0.6558
2 Li 0.0942 0.6558 0.0942
3 Li 0.0942 0.6558 0.6558
4 Li 0.3442 0.3442 0.9058
5 Li 0.3442 0.9058 0.3442
6 Li 0.3442 0.9058 0.9058
7 Li 0.6558 0.0942 0.0942
8 Li 0.6558 0.0942 0.6558
9 Li 0.6558 0.6558 0.0942
10 Li 0.9058 0.3442 0.3442
11 Li 0.9058 0.3442 0.9058
12 Li 0.9058 0.9058 0.3442
13 Ni 0.0000 0.5000 0.5000
14 Ni 0.5000 0.0000 0.5000
15 Ni 0.5000 0.5000 0.0000
16 Ni 0.5000 0.5000 0.5000
17 C 0.2768 0.2768 0.2768
18 C 0.2768 0.2768 0.6696
19 C 0.2768 0.6696 0.2768
20 C 0.3304 0.7232 0.7232
21 C 0.6696 0.2768 0.2768
22 C 0.7232 0.3304 0.7232
23 C 0.7232 0.7232 0.3304
24 C 0.7232 0.7232 0.7232
25 S 0.1250 0.1250 0.1250
26 S 0.8750 0.8750 0.8750
27 O 0.0594 0.0594 0.0594
28 O 0.0594 0.0594 0.3217
29 O 0.0594 0.3217 0.0594
30 O 0.1320 0.2872 0.6707
31 O 0.1320 0.4101 0.2872
32 O 0.1320 0.6707 0.4101
33 O 0.2872 0.1320 0.4101
34 O 0.2872 0.4101 0.6707
35 O 0.2872 0.6707 0.1320
36 O 0.3217 0.0594 0.0594
37 O 0.3293 0.5899 0.8680
38 O 0.3293 0.7128 0.5899
39 O 0.3293 0.8680 0.7128
40 O 0.4101 0.1320 0.6707
41 O 0.4101 0.2872 0.1320
42 O 0.4101 0.6707 0.2872
43 O 0.5899 0.3293 0.7128
44 O 0.5899 0.7128 0.8680
45 O 0.5899 0.8680 0.3293
46 O 0.6707 0.1320 0.2872
47 O 0.6707 0.2872 0.4101
48 O 0.6707 0.4101 0.1320
49 O 0.6783 0.9406 0.9406
50 O 0.7128 0.3293 0.8680
51 O 0.7128 0.5899 0.3293
52 O 0.7128 0.8680 0.5899
53 O 0.8680 0.3293 0.5899
54 O 0.8680 0.5899 0.7128
55 O 0.8680 0.7128 0.3293
56 O 0.9406 0.6783 0.9406
57 O 0.9406 0.9406 0.6783
58 O 0.9406 0.9406 0.9406